(1)
Calculated powder XRD pattern of BaH6C4O7 for Cu Kα (weighted mean of Kα1 and Kα2), from a structure optimized by DFT (PBE).
Neutral-atom scattering factors, no anomalous dispersion.

Unit cell a=6.632 b=8.391 c=8.646 alpha=103.98 beta=109.45 gamma=109.08
Atoms (fractional coordinates):
Ba: 0.220 0.073 0.315
Ba: 0.780 0.927 0.685
H: 0.096 0.756 0.520
H: 0.101 0.267 0.660
H: 0.260 0.882 0.947
H: 0.278 0.564 0.508
H: 0.301 0.647 0.705
H: 0.352 0.093 0.981
H: 0.648 0.907 0.019
H: 0.699 0.353 0.295
H: 0.722 0.436 0.492
H: 0.740 0.118 0.053
H: 0.899 0.733 0.340
H: 0.904 0.244 0.480
C: 0.222 0.431 0.008
C: 0.274 0.490 0.199
C: 0.321 0.623 0.031
C: 0.368 0.684 0.218
C: 0.632 0.316 0.782
C: 0.679 0.377 0.969
C: 0.726 0.510 0.801
C: 0.778 0.569 0.992
O: 0.031 0.206 0.529
O: 0.125 0.280 0.878
O: 0.217 0.985 0.967
O: 0.247 0.409 0.301
O: 0.311 0.677 0.603
O: 0.351 0.706 0.929
O: 0.450 0.838 0.341
O: 0.550 0.162 0.659
O: 0.649 0.294 0.071
O: 0.689 0.323 0.397
O: 0.753 0.591 0.699
O: 0.783 0.015 0.033
O: 0.875 0.720 0.122
O: 0.969 0.794 0.471

The 8 most intense peaks (10° ≤ 2θ ≤ 90°), by angle:
2θ (°)	I (rel.)
12.14	73.8
14.90	100.0
20.74	42.7
22.41	43.2
23.73	65.8
27.07	45.6
30.76	45.7
31.98	56.8

(2)
Calculated powder XRD pattern of Ca2Ta2O7 for Cu Kα (weighted mean of Kα1 and Kα2), from a structure optimized by DFT (PBE).
Neutral-atom scattering factors, no anomalous dispersion.

Unit cell a=7.450 b=7.450 c=7.450 alpha=60.00 beta=60.00 gamma=60.00
Atoms (fractional coordinates):
Ca: 0.000 0.000 0.000
Ca: 0.000 0.000 0.500
Ca: 0.000 0.500 0.000
Ca: 0.500 0.000 0.000
Ta: 0.000 0.500 0.500
Ta: 0.500 0.000 0.500
Ta: 0.500 0.500 0.000
Ta: 0.500 0.500 0.500
O: 0.125 0.125 0.125
O: 0.183 0.183 0.567
O: 0.183 0.567 0.183
O: 0.183 0.567 0.567
O: 0.433 0.433 0.817
O: 0.433 0.817 0.433
O: 0.433 0.817 0.817
O: 0.567 0.183 0.183
O: 0.567 0.183 0.567
O: 0.567 0.567 0.183
O: 0.817 0.433 0.433
O: 0.817 0.433 0.817
O: 0.817 0.817 0.433
O: 0.875 0.875 0.875

The 8 most intense peaks (10° ≤ 2θ ≤ 90°), by angle:
2θ (°)	I (rel.)
14.56	58.3
28.09	39.5
29.37	100.0
34.04	32.5
48.91	45.1
58.08	43.2
79.28	17.4
81.76	15.0

(3)
Calculated powder XRD pattern of Y3AlO6 for Cu Kα (weighted mean of Kα1 and Kα2), from a structure optimized by DFT (PBE).
Neutral-atom scattering factors, no anomalous dispersion.

Unit cell a=6.459 b=6.459 c=6.459 alpha=92.34 beta=92.34 gamma=92.34
Atoms (fractional coordinates):
Y: 0.065 0.571 0.755
Y: 0.245 0.935 0.429
Y: 0.429 0.245 0.935
Y: 0.571 0.755 0.065
Y: 0.755 0.065 0.571
Y: 0.935 0.429 0.245
Al: 0.000 0.000 0.000
Al: 0.500 0.500 0.500
O: 0.044 0.918 0.710
O: 0.082 0.290 0.956
O: 0.208 0.571 0.432
O: 0.290 0.956 0.082
O: 0.429 0.568 0.792
O: 0.432 0.208 0.571
O: 0.568 0.792 0.429
O: 0.571 0.432 0.208
O: 0.710 0.044 0.918
O: 0.792 0.429 0.568
O: 0.918 0.710 0.044
O: 0.956 0.082 0.290

The 8 most intense peaks (10° ≤ 2θ ≤ 90°), by angle:
2θ (°)	I (rel.)
24.92	42.5
30.47	100.0
31.55	38.9
33.81	32.2
43.83	25.2
45.03	33.4
51.92	24.1
55.04	17.1

(4)
Calculated powder XRD pattern of AsO2 for Cu Kα (weighted mean of Kα1 and Kα2), from a structure optimized by DFT (PBE).
Neutral-atom scattering factors, no anomalous dispersion.

Unit cell a=8.961 b=5.325 c=7.527 alpha=90.00 beta=90.00 gamma=90.00
Atoms (fractional coordinates):
As: 0.079 0.250 0.170
As: 0.238 0.750 0.303
As: 0.262 0.250 0.803
As: 0.421 0.750 0.670
As: 0.579 0.250 0.330
As: 0.738 0.750 0.197
As: 0.762 0.250 0.697
As: 0.921 0.750 0.830
O: 0.085 0.750 0.934
O: 0.094 0.505 0.317
O: 0.094 0.995 0.317
O: 0.247 0.250 0.050
O: 0.253 0.750 0.550
O: 0.406 0.005 0.817
O: 0.406 0.495 0.817
O: 0.415 0.250 0.434
O: 0.585 0.750 0.566
O: 0.594 0.505 0.183
O: 0.594 0.995 0.183
O: 0.747 0.250 0.450
O: 0.753 0.750 0.950
O: 0.906 0.005 0.683
O: 0.906 0.495 0.683
O: 0.915 0.250 0.066

The 8 most intense peaks (10° ≤ 2θ ≤ 90°), by angle:
2θ (°)	I (rel.)
22.73	41.9
23.10	62.8
23.64	34.9
28.61	100.0
30.75	37.7
33.66	33.7
41.02	29.4
68.67	31.7